Diffraction record for AcHo3Tl4. The PXRD pattern is calculated, not measured: it uses a structure optimized by DFT (GGA-PBE) and Cu Kα (λ = 1.5418 Å).

Crystal structure
a b c (Å): 10.978 7.750 5.488
angles (deg): 90.00 90.00 90.00
Atoms (fractional coordinates):
Ac: 0.000 0.000 0.000
Ac: 0.500 0.000 0.000
Ho: 0.000 0.500 0.000
Ho: 0.250 0.000 0.499
Ho: 0.250 0.500 0.498
Ho: 0.500 0.500 0.000
Ho: 0.750 0.000 0.501
Ho: 0.750 0.500 0.502
Tl: 0.000 0.267 0.500
Tl: 0.000 0.733 0.500
Tl: 0.250 0.267 0.998
Tl: 0.250 0.733 0.998
Tl: 0.500 0.267 0.500
Tl: 0.500 0.733 0.500
Tl: 0.750 0.267 0.002
Tl: 0.750 0.733 0.002

Largest 10 diffraction maxima, sorted by position, 2θ = 5–70°:
(hkl)  2θ/deg  I/Imax
2 1 1  25.67  1.1
4 0 0  32.65  100.0
0 3 0  34.72  0.6
2 3 1  42.01  0.6
4 0 2  46.84  18.3
4 3 0  48.39  1.0
6 2 1  58.26  37.9
0 5 0  59.60  0.7
2 5 1  64.75  1.3
8 0 0  68.40  11.6